Starting from a structure optimized by DFT (PBE), the powder XRD pattern of Ho3Tm2Th6 was calculated for copper Kα.
Peak positions follow from Bragg's law for the DFT cell and can differ from measured ones.

Top 10 peaks for 10 to 80 degrees two-theta, most intense first:
d [Å]  two_theta  I (rel.)
2.903  30.80  100
2.506  35.83  67
2.865  31.22  32
1.513  61.29  29
1.781  51.30  25
1.763  51.86  24
1.518  61.03  15
1.501  61.79  14
1.452  64.15  13
1.253  75.94  8

Structural model:
```
Ho3Tm2Th6
1.0
1.7810 1.0283 31.5115
-1.7810 1.0283 31.5115
0.0000 -2.0566 31.5115
Ho Tm Th
3 2 6
direct
0.0000 0.0000 0.0000
0.2728 0.2728 0.2728
0.7272 0.7272 0.7272
0.4542 0.4542 0.4542
0.5458 0.5458 0.5458
0.0910 0.0910 0.0910
0.1816 0.1816 0.1816
0.3636 0.3636 0.3636
0.6364 0.6364 0.6364
0.8184 0.8184 0.8184
0.9090 0.9090 0.9090
```

=====

Starting from a structure optimized by DFT (PBE), the powder XRD pattern of K3SiSe4 was calculated for copper Kα.
Peak positions follow from Bragg's law for the DFT cell and can differ from measured ones.

Top 10 peaks for 10 to 80 degrees two-theta, most intense first:
d [Å]  two_theta  I (rel.)
3.209  27.80  100
2.869  31.18  76
2.971  30.08  65
2.759  32.45  48
5.798  15.28  42
2.437  36.88  41
2.899  30.85  40
2.731  32.80  35
4.267  20.82  33
2.812  31.83  29

Structural model:
```
K3SiSe4
1.0
9.3282 0.0000 0.0000
0.0000 10.9164 0.0000
0.0000 0.0000 10.0667
K Si Se
12 4 16
direct
0.0406 0.0463 0.1975
0.0406 0.4537 0.1975
0.1522 0.7500 0.4183
0.3478 0.2500 0.9183
0.4594 0.5463 0.6975
0.4594 0.9537 0.6975
0.5406 0.0463 0.3025
0.5406 0.4537 0.3025
0.6522 0.7500 0.0817
0.8478 0.2500 0.5817
0.9594 0.5463 0.8025
0.9594 0.9537 0.8025
0.2423 0.7500 0.9676
0.2577 0.2500 0.4676
0.7423 0.7500 0.5324
0.7577 0.2500 0.0324
0.0327 0.7500 0.0875
0.1521 0.0701 0.5404
0.1521 0.4299 0.5404
0.2094 0.7500 0.7453
0.2906 0.2500 0.2453
0.3479 0.5701 0.0404
0.3479 0.9299 0.0404
0.4673 0.2500 0.5875
0.5327 0.7500 0.4125
0.6521 0.0701 0.9596
0.6521 0.4299 0.9596
0.7094 0.7500 0.7547
0.7906 0.2500 0.2547
0.8479 0.5701 0.4596
0.8479 0.9299 0.4596
0.9673 0.2500 0.9125
```